# 1
Structure and calculated powder XRD pattern of LiH8Pd5 (the PBE geometry in Alexandria; Cu Ka).
Intensities are scaled so that the largest is 100.

Main lines, by angle (2θ = 10–90°):
two_theta, I (rel.)
10.59, 51.3
14.09, 49.5
16.45, 100.0
33.25, 37.5
36.29, 31.6
37.06, 16.0
37.70, 76.5
38.11, 33.2
42.35, 46.9
43.34, 23.3

Crystal structure
a b c (Å): 6.3462 2.9072 8.4304
angles (deg): 90.00 97.84 90.00
Sites, in units of the cell vectors:
Li1 0.0000 0.0000 0.0000
H1 0.2336 0.0000 0.6505
H2 0.2757 0.0000 0.9234
H3 0.5782 0.0000 0.7746
H4 0.6148 0.0000 0.2088
H5 0.7449 0.5000 0.0302
H6 0.8089 0.5000 0.4799
H7 0.9028 0.0000 0.7280
H8 0.9900 0.0000 0.3135
Pd1 0.2456 0.5000 0.7856
Pd2 0.5706 0.0000 0.9969
Pd3 0.7419 0.5000 0.7466
Pd4 0.8061 0.5000 0.2531
Pd5 0.9742 0.0000 0.5279

---

# 2
Structure and calculated powder XRD pattern of LiH3Pd5 (the PBE geometry in Alexandria; Cu Ka).
Intensities are scaled so that the largest is 100.

Main lines, by angle (2θ = 10–90°):
two_theta, I (rel.)
17.35, 18.3
36.29, 16.4
37.90, 100.0
40.89, 95.3
41.34, 88.1
42.13, 16.7
43.01, 22.5
53.94, 15.7
64.21, 14.7
71.10, 18.6

Crystal structure
a b c (Å): 5.5698 5.5698 7.3863
angles (deg): 110.96 110.96 73.11
Sites, in units of the cell vectors:
Li1 0.1029 0.1029 0.3107
Li2 0.8971 0.8971 0.6893
H1 0.0000 0.0000 0.0000
H2 0.0000 0.0000 0.5000
H3 0.3186 0.3186 0.8199
H4 0.3579 0.3579 0.3463
H5 0.6421 0.6421 0.6537
H6 0.6814 0.6814 0.1801
Pd1 0.0473 0.6314 0.3330
Pd2 0.2372 0.2372 0.0290
Pd3 0.2834 0.7166 0.0000
Pd4 0.3686 0.9527 0.6670
Pd5 0.4239 0.4239 0.6384
Pd6 0.5761 0.5761 0.3616
Pd7 0.6314 0.0473 0.3330
Pd8 0.7166 0.2834 0.0000
Pd9 0.7628 0.7628 0.9710
Pd10 0.9527 0.3686 0.6670